TlReAgO3: calculated XRD peak list (copper Kα), based on a cell relaxed with GGA-PBE.
Lines closer than 0.1° are merged.

The 8 most intense peaks (2θ = 15–90°), in order of rising 2θ:
(hkl), 2θ/deg, Rel. int.
1 0 2, 18.80, 49
3 0 1, 24.46, 74
3 0 2, 28.75, 42
0 0 4, 34.78, 46
1 1 2, 36.27, 100
4 0 3, 40.56, 43
2 1 3, 43.60, 38
5 1 2, 53.37, 40

Cell and atoms:
```
data_TlReAgO3
_cell_length_a 11.667
_cell_length_b 2.909
_cell_length_c 10.321
_cell_angle_alpha 90.00
_cell_angle_beta 90.00
_cell_angle_gamma 90.00
_space_group_name_H-M_alt 'P n m a'
_space_group_IT_number 62
_space_group_name_Hall '-P 2ac 2n'
loop_
_atom_site_label
_atom_site_fract_x
_atom_site_fract_y
_atom_site_fract_z
Tl1 0.202 0.250 0.094
Re1 0.001 0.750 0.394
Ag1 0.064 0.750 0.902
O1 0.075 0.750 0.229
O2 0.105 0.750 0.682
O3 0.118 0.250 0.453
```

***

Cu12Sb4Te13: calculated XRD peak list (copper Kα), based on a cell relaxed with GGA-PBE.
Lines closer than 0.1° are merged.

The 8 most intense peaks (2θ = 15–90°), in order of rising 2θ:
(hkl), 2θ/deg, Rel. int.
2 2 2, 26.70, 100
3 2 1, 28.88, 26
4 1 1, 32.85, 19
4 4 0, 44.30, 74
6 1 1, 48.51, 16
6 2 2, 52.47, 33
6 6 2, 71.04, 14
8 4 4, 81.53, 16

Cell and atoms:
```
data_Cu12Sb4Te13
_cell_length_a 11.568
_cell_length_b 11.568
_cell_length_c 11.568
_cell_angle_alpha 90.00
_cell_angle_beta 90.00
_cell_angle_gamma 90.00
_space_group_name_H-M_alt 'I -4 3 m'
_space_group_IT_number 217
_space_group_name_Hall 'I -4 2 3'
loop_
_atom_site_label
_atom_site_fract_x
_atom_site_fract_y
_atom_site_fract_z
Cu1 0.000 0.000 0.223
Cu2 0.000 0.250 0.500
Sb1 0.220 0.220 0.220
Te1 0.000 0.000 0.000
Te2 0.117 0.117 0.633
```

***

Dy2Ho2CI3Cl2: calculated XRD peak list (copper Kα), based on a cell relaxed with GGA-PBE.
Lines closer than 0.1° are merged.

The 8 most intense peaks (2θ = 15–90°), in order of rising 2θ:
(hkl), 2θ/deg, Rel. int.
4 0 -1, 20.54, 29
3 1 -1, 28.31, 26
6 0 0, 30.10, 40
3 1 1, 30.67, 43
1 1 -2, 31.18, 100
5 1 0, 34.17, 28
2 0 3, 35.87, 21
7 1 -2, 44.26, 26

Cell and atoms:
```
data_Dy2Ho2CI3Cl2
_cell_length_a 18.221
_cell_length_b 3.882
_cell_length_c 8.516
_cell_angle_alpha 90.00
_cell_angle_beta 102.17
_cell_angle_gamma 90.00
_space_group_name_H-M_alt 'C 1 2/m 1'
_space_group_IT_number 12
_space_group_name_Hall '-C 2y'
loop_
_atom_site_label
_atom_site_fract_x
_atom_site_fract_y
_atom_site_fract_z
Dy1 0.001 0.000 0.309
Ho1 0.133 0.500 0.556
C1 0.000 0.500 0.500
I1 0.000 0.500 0.000
I2 0.171 0.000 0.833
Cl1 0.160 0.000 0.350
```

***

PrCN5: calculated XRD peak list (copper Kα), based on a cell relaxed with GGA-PBE.
Lines closer than 0.1° are merged.

The 8 most intense peaks (2θ = 15–90°), in order of rising 2θ:
(hkl), 2θ/deg, Rel. int.
0 0 1, 19.40, 78
0 1 0, 20.89, 65
1 0 0, 21.39, 37
1 0 1, 22.47, 56
0 1 1, 22.78, 28
1 1 1, 27.86, 100
0 1 -1, 33.60, 48
1 0 2, 36.54, 28

Cell and atoms:
```
data_PrCN5
_cell_length_a 4.528
_cell_length_b 4.565
_cell_length_c 5.300
_cell_angle_alpha 70.17
_cell_angle_beta 67.95
_cell_angle_gamma 89.78
_space_group_name_H-M_alt 'P 1'
_space_group_IT_number 1
_space_group_name_Hall 'P 1'
loop_
_atom_site_label
_atom_site_fract_x
_atom_site_fract_y
_atom_site_fract_z
Pr1 0.000 0.000 0.000
C1 0.520 0.696 0.750
N1 0.223 0.553 0.836
N2 0.244 0.203 0.347
N3 0.501 0.246 0.318
N4 0.556 0.863 0.902
N5 0.745 0.678 0.512
```

***

Hf2Nb4P3C3: calculated XRD peak list (copper Kα), based on a cell relaxed with GGA-PBE.
Lines closer than 0.1° are merged.

The 8 most intense peaks (2θ = 15–90°), in order of rising 2θ:
(hkl), 2θ/deg, Rel. int.
0 0 4, 30.30, 17
3 1 -1, 31.01, 32
0 2 1, 31.95, 33
0 2 3, 38.72, 100
3 1 -5, 43.91, 13
6 0 -2, 55.17, 28
0 2 7, 63.97, 14
6 2 1, 69.43, 18

Cell and atoms:
```
data_Hf2Nb4P3C3
_cell_length_a 9.986
_cell_length_b 5.769
_cell_length_c 12.260
_cell_angle_alpha 90.00
_cell_angle_beta 105.74
_cell_angle_gamma 90.00
_space_group_name_H-M_alt 'C 1 2/c 1'
_space_group_IT_number 15
_space_group_name_Hall '-C 2yc'
loop_
_atom_site_label
_atom_site_fract_x
_atom_site_fract_y
_atom_site_fract_z
Hf1 0.048 0.083 0.395
Nb1 0.117 0.416 0.599
Nb2 0.217 0.416 0.901
P1 0.000 0.425 0.250
P2 0.171 0.087 0.750
C1 0.083 0.249 0.000
C2 0.250 0.250 0.500
```

***

La2YNi9: calculated XRD peak list (copper Kα), based on a cell relaxed with GGA-PBE.
Lines closer than 0.1° are merged.

The 8 most intense peaks (2θ = 15–90°), in order of rising 2θ:
(hkl), 2θ/deg, Rel. int.
1 1 2, 29.89, 45
1 3 0, 35.08, 19
0 4 0, 40.30, 27
1 3 2, 41.56, 100
2 0 2, 42.50, 33
0 0 4, 43.94, 29
2 2 2, 47.31, 17
0 4 4, 61.16, 17

Cell and atoms:
```
data_La2YNi9
_cell_length_a 4.968
_cell_length_b 8.953
_cell_length_c 8.242
_cell_angle_alpha 90.00
_cell_angle_beta 90.00
_cell_angle_gamma 90.00
_space_group_name_H-M_alt 'C m m m'
_space_group_IT_number 65
_space_group_name_Hall '-C 2 2'
loop_
_atom_site_label
_atom_site_fract_x
_atom_site_fract_y
_atom_site_fract_z
La1 0.000 0.000 0.214
Y1 0.000 0.500 0.500
Ni1 0.000 0.308 0.244
Ni2 0.000 0.500 0.000
Ni3 0.250 0.250 0.000
Ni4 0.250 0.250 0.500
```

***

LiPt2O6: calculated XRD peak list (copper Kα), based on a cell relaxed with GGA-PBE.
Lines closer than 0.1° are merged.

The 8 most intense peaks (2θ = 15–90°), in order of rising 2θ:
(hkl), 2θ/deg, Rel. int.
0 0 1, 19.20, 100
0 2 0, 19.60, 26
1 1 0, 20.52, 47
1 1 -1, 24.01, 34
1 3 0, 34.84, 43
1 3 -1, 37.10, 23
1 3 1, 42.90, 38
2 0 -2, 44.60, 23

Cell and atoms:
```
data_LiPt2O6
_cell_length_a 5.186
_cell_length_b 9.060
_cell_length_c 4.864
_cell_angle_alpha 90.00
_cell_angle_beta 108.16
_cell_angle_gamma 90.00
_space_group_name_H-M_alt 'C 1 2 1'
_space_group_IT_number 5
_space_group_name_Hall 'C 2y'
loop_
_atom_site_label
_atom_site_fract_x
_atom_site_fract_y
_atom_site_fract_z
Li1 0.000 0.000 0.000
Pt1 0.000 0.220 0.500
Pt2 0.000 0.552 0.500
O1 0.203 0.385 0.733
O2 0.231 0.188 0.254
O3 0.248 0.067 0.731
```

***

HoLuCo2I2: calculated XRD peak list (copper Kα), based on a cell relaxed with GGA-PBE.
Lines closer than 0.1° are merged.

The 8 most intense peaks (2θ = 15–90°), in order of rising 2θ:
(hkl), 2θ/deg, Rel. int.
0 1 1, 27.08, 55
0 1 2, 30.00, 22
0 1 3, 34.36, 100
1 0 4, 39.76, 35
1 1 0, 45.94, 49
2 0 3, 58.61, 21
1 1 6, 66.20, 22
1 2 3, 77.51, 19

Cell and atoms:
```
data_HoLuCo2I2
_cell_length_a 3.9505
_cell_length_b 3.9505
_cell_length_c 12.1085
_cell_angle_alpha 90.00
_cell_angle_beta 90.00
_cell_angle_gamma 120.00
_space_group_name_H-M_alt 'P 3 m 1'
_space_group_IT_number 156
_space_group_name_Hall 'P 3 -2"'
loop_
_atom_site_label
_atom_site_fract_x
_atom_site_fract_y
_atom_site_fract_z
Ho1 0.0000 0.0000 0.0000
Lu1 0.0000 0.0000 0.7043
Co1 0.3333 0.6667 0.8463
Co2 0.6667 0.3333 0.8526
I1 0.3333 0.6667 0.1785
I2 0.6667 0.3333 0.5296
```

***

Nd4I4N3: calculated XRD peak list (copper Kα), based on a cell relaxed with GGA-PBE.
Lines closer than 0.1° are merged.

The 8 most intense peaks (2θ = 15–90°), in order of rising 2θ:
(hkl), 2θ/deg, Rel. int.
1 0 2, 28.82, 100
1 2 0, 31.47, 45
0 2 4, 43.51, 11
2 0 0, 45.01, 11
0 4 0, 45.20, 9
1 2 4, 49.33, 13
2 2 2, 54.35, 17
1 4 2, 54.47, 16

Cell and atoms:
```
data_Nd4I4N3
_cell_length_a 4.028
_cell_length_b 8.025
_cell_length_c 9.723
_cell_angle_alpha 90.00
_cell_angle_beta 90.00
_cell_angle_gamma 90.00
_space_group_name_H-M_alt 'P m m 2'
_space_group_IT_number 25
_space_group_name_Hall 'P 2 -2'
loop_
_atom_site_label
_atom_site_fract_x
_atom_site_fract_y
_atom_site_fract_z
Nd1 0.000 0.000 0.000
Nd2 0.000 0.500 0.051
Nd3 0.500 0.240 0.756
I1 0.000 0.000 0.550
I2 0.000 0.500 0.566
I3 0.500 0.249 0.216
N1 0.000 0.289 0.890
N2 0.500 0.000 0.876
```

***

Rb3HgCl6: calculated XRD peak list (copper Kα), based on a cell relaxed with GGA-PBE.
Lines closer than 0.1° are merged.

The 8 most intense peaks (2θ = 15–90°), in order of rising 2θ:
(hkl), 2θ/deg, Rel. int.
2 0 0, 15.83, 27
2 2 0, 22.45, 100
4 0 0, 31.97, 62
4 2 2, 39.42, 46
4 4 0, 45.83, 42
6 2 0, 51.62, 24
6 4 2, 62.01, 27
8 4 0, 76.00, 17

Cell and atoms:
```
data_Rb3HgCl6
_cell_length_a 11.199
_cell_length_b 11.199
_cell_length_c 11.199
_cell_angle_alpha 90.00
_cell_angle_beta 90.00
_cell_angle_gamma 90.00
_space_group_name_H-M_alt 'F m -3 m'
_space_group_IT_number 225
_space_group_name_Hall '-F 4 2 3'
loop_
_atom_site_label
_atom_site_fract_x
_atom_site_fract_y
_atom_site_fract_z
Rb1 0.000 0.000 0.000
Rb2 0.250 0.250 0.250
Hg1 0.000 0.000 0.500
Cl1 0.000 0.000 0.268
```

***

ErCu2C4: calculated XRD peak list (copper Kα), based on a cell relaxed with GGA-PBE.
Lines closer than 0.1° are merged.

The 8 most intense peaks (2θ = 15–90°), in order of rising 2θ:
(hkl), 2θ/deg, Rel. int.
1 3 -1, 25.43, 100
0 2 1, 27.93, 93
1 5 0, 35.45, 43
2 2 0, 37.89, 24
3 1 -2, 40.66, 76
0 6 1, 45.03, 25
0 4 2, 57.71, 34
1 7 1, 60.44, 23

Cell and atoms:
```
data_ErCu2C4
_cell_length_a 7.098
_cell_length_b 14.665
_cell_length_c 5.018
_cell_angle_alpha 90.00
_cell_angle_beta 134.97
_cell_angle_gamma 90.00
_space_group_name_H-M_alt 'C 1 2/c 1'
_space_group_IT_number 15
_space_group_name_Hall '-C 2yc'
loop_
_atom_site_label
_atom_site_fract_x
_atom_site_fract_y
_atom_site_fract_z
Er1 0.000 0.125 0.250
Cu1 0.000 0.500 0.000
Cu2 0.250 0.250 0.000
C1 0.150 0.375 0.054
C2 0.154 0.375 0.754
```

***

Rb2Hf2O5: calculated XRD peak list (copper Kα), based on a cell relaxed with GGA-PBE.
Lines closer than 0.1° are merged.

The 8 most intense peaks (2θ = 15–90°), in order of rising 2θ:
(hkl), 2θ/deg, Rel. int.
1 0 0, 21.99, 17
1 0 2, 29.73, 100
1 1 0, 31.30, 41
0 0 4, 40.15, 13
2 0 0, 44.85, 25
1 1 4, 51.76, 15
2 1 2, 54.74, 38
2 0 4, 61.74, 13

Cell and atoms:
```
data_Rb2Hf2O5
_cell_length_a 4.042
_cell_length_b 4.042
_cell_length_c 8.985
_cell_angle_alpha 90.00
_cell_angle_beta 90.00
_cell_angle_gamma 90.00
_space_group_name_H-M_alt 'P 4/m m m'
_space_group_IT_number 123
_space_group_name_Hall '-P 4 2'
loop_
_atom_site_label
_atom_site_fract_x
_atom_site_fract_y
_atom_site_fract_z
Rb1 0.000 0.000 0.000
Rb2 0.000 0.000 0.500
Hf1 0.500 0.500 0.222
O1 0.000 0.500 0.267
O2 0.500 0.500 0.000
```

***

HfSc3Te2C2: calculated XRD peak list (copper Kα), based on a cell relaxed with GGA-PBE.
Lines closer than 0.1° are merged.

The 8 most intense peaks (2θ = 15–90°), in order of rising 2θ:
(hkl), 2θ/deg, Rel. int.
1 0 0, 29.06, 28
0 1 3, 35.57, 100
1 0 6, 50.86, 15
1 1 0, 51.51, 24
2 0 3, 64.17, 17
1 1 6, 67.70, 18
0 1 9, 70.88, 14
1 2 3, 86.67, 17

Cell and atoms:
```
data_HfSc3Te2C2
_cell_length_a 3.5482
_cell_length_b 3.5482
_cell_length_c 13.2721
_cell_angle_alpha 90.00
_cell_angle_beta 90.00
_cell_angle_gamma 120.00
_space_group_name_H-M_alt 'P 3 m 1'
_space_group_IT_number 156
_space_group_name_Hall 'P 3 -2"'
loop_
_atom_site_label
_atom_site_fract_x
_atom_site_fract_y
_atom_site_fract_z
Hf1 0.0000 0.0000 0.0000
Sc1 0.0000 0.0000 0.6757
Sc2 0.6667 0.3333 0.1780
Sc3 0.6667 0.3333 0.4985
Te1 0.0000 0.0000 0.3374
Te2 0.6667 0.3333 0.8410
C1 0.3333 0.6667 0.0828
C2 0.3333 0.6667 0.5886
```